Structure and simulated powder diffraction line list of Np2Co3CuGe4 (a crystal structure in Alexandria, relaxed with GGA-PBE; Cu Kα).
Neutral-atom scattering factors, no anomalous dispersion.

Most intense lines, 10° ≤ 2θ ≤ 80°, by intensity:
hkl 1 1 2, 36.3°, I = 100
hkl 1 0 3, 35.4°, I = 72
hkl 2 0 0, 44.6°, I = 49
hkl 2 1 3, 58.2°, I = 35
hkl 1 0 1, 23.7°, I = 32
hkl 1 0 5, 52.0°, I = 29
hkl 1 1 0, 31.1°, I = 26
hkl 2 1 5, 70.9°, I = 23
hkl 3 1 2, 76.7°, I = 23
hkl 2 2 0, 64.9°, I = 16

Structure:
```
data_Np2Co3CuGe4
_chemical_formula_sum 'Np2 Co3 Cu1 Ge4'
_cell_length_a 4.0631
_cell_length_b 4.0631
_cell_length_c 9.7517
_cell_angle_alpha 90.00
_cell_angle_beta 90.00
_cell_angle_gamma 90.00
_symmetry_space_group_name_H-M 'P 1'
_symmetry_Int_Tables_number 1
loop_
_symmetry_equiv_pos_as_xyz
'x,y,z'
loop_
_atom_site_label
_atom_site_fract_x
_atom_site_fract_y
_atom_site_fract_z
Np1 0.0000 0.5000 0.2447
Np2 0.5000 0.0000 0.7553
Co1 0.0000 0.5000 0.8722
Co2 0.5000 0.0000 0.1278
Co3 0.5000 0.5000 0.5000
Cu1 0.0000 0.0000 0.5000
Ge1 0.0000 0.0000 0.0000
Ge2 0.0000 0.5000 0.6348
Ge3 0.5000 0.0000 0.3652
Ge4 0.5000 0.5000 0.0000
```